[1]
Simulated PXRD pattern of AcAs3O6 for copper Kα, from a DFT-relaxed cell (GGA-PBE, Alexandria).
Lines closer than 0.1° are merged.

The 10 most intense peaks (10° ≤ 2θ ≤ 80°), sorted by position:
14.72 deg, rel. 51.7; 21.98 deg, rel. 14.0; 26.55 deg, rel. 100.0; 29.69 deg, rel. 83.4; 30.49 deg, rel. 23.7; 40.25 deg, rel. 37.4; 44.82 deg, rel. 24.9; 50.81 deg, rel. 37.5; 52.69 deg, rel. 14.0; 63.47 deg, rel. 18.8

Cell and atoms:
Unit cell a=7.101 b=7.101 c=7.101 alpha=115.87 beta=115.87 gamma=115.87
Atoms (fractional coordinates):
Ac  0.000  0.000  0.000
As  0.061  0.538  0.538
As  0.538  0.061  0.538
As  0.538  0.538  0.061
O  0.267  0.895  0.895
O  0.355  0.599  0.599
O  0.599  0.355  0.599
O  0.599  0.599  0.355
O  0.895  0.267  0.895
O  0.895  0.895  0.267



[2]
Simulated PXRD pattern of Cd6In2Ag for copper Kα, from a DFT-relaxed cell (GGA-PBE, Alexandria).
Lines closer than 0.1° are merged.

The 10 most intense peaks (10° ≤ 2θ ≤ 80°), sorted by position:
30.29 deg, rel. 15.9; 34.69 deg, rel. 75.9; 35.49 deg, rel. 100.0; 42.30 deg, rel. 13.5; 50.48 deg, rel. 24.4; 61.66 deg, rel. 17.3; 63.22 deg, rel. 23.2; 63.73 deg, rel. 16.2; 73.21 deg, rel. 10.1; 75.12 deg, rel. 9.7

Cell and atoms:
Unit cell a=8.761 b=8.761 c=3.203 alpha=90.00 beta=90.00 gamma=120.00
Atoms (fractional coordinates):
Cd  0.000  0.321  0.232
Cd  0.000  0.679  0.768
Cd  0.321  0.000  0.232
Cd  0.321  0.321  0.768
Cd  0.679  0.000  0.768
Cd  0.679  0.679  0.232
In  0.333  0.667  0.500
In  0.667  0.333  0.500
Ag  0.000  0.000  0.000



[3]
Simulated PXRD pattern of DyEr5Ga6 for copper Kα, from a DFT-relaxed cell (GGA-PBE, Alexandria).
Lines closer than 0.1° are merged.

The 8 most intense peaks (10° ≤ 2θ ≤ 80°), sorted by position:
25.14 deg, rel. 18.0; 35.85 deg, rel. 100.0; 44.29 deg, rel. 5.5; 51.57 deg, rel. 11.8; 51.67 deg, rel. 5.9; 58.24 deg, rel. 7.5; 64.42 deg, rel. 35.9; 75.98 deg, rel. 11.1

Cell and atoms:
Unit cell a=7.926 b=7.926 c=7.076 alpha=90.00 beta=90.00 gamma=143.13
Atoms (fractional coordinates):
Dy  0.000  0.000  0.000
Er  0.000  0.000  0.500
Er  0.333  0.667  0.000
Er  0.334  0.666  0.500
Er  0.666  0.334  0.500
Er  0.667  0.333  0.000
Ga  0.167  0.833  0.251
Ga  0.167  0.833  0.749
Ga  0.500  0.500  0.251
Ga  0.500  0.500  0.749
Ga  0.833  0.167  0.251
Ga  0.833  0.167  0.749



[4]
Simulated PXRD pattern of Ac2Ni6Ge3 for copper Kα, from a DFT-relaxed cell (GGA-PBE, Alexandria).
Lines closer than 0.1° are merged.

The 10 most intense peaks (10° ≤ 2θ ≤ 80°), sorted by position:
24.37 deg, rel. 16.9; 28.21 deg, rel. 12.5; 32.36 deg, rel. 100.0; 37.62 deg, rel. 17.7; 42.67 deg, rel. 21.2; 42.89 deg, rel. 32.0; 43.46 deg, rel. 30.4; 54.73 deg, rel. 18.7; 62.10 deg, rel. 21.4; 71.94 deg, rel. 22.2

Cell and atoms:
Unit cell a=7.304 b=7.304 c=4.238 alpha=90.00 beta=90.00 gamma=120.00
Atoms (fractional coordinates):
Ac  0.333  0.667  0.000
Ac  0.667  0.333  0.000
Ni  0.000  0.287  0.500
Ni  0.000  0.809  0.000
Ni  0.191  0.191  0.000
Ni  0.287  0.000  0.500
Ni  0.713  0.713  0.500
Ni  0.809  0.000  0.000
Ge  0.000  0.648  0.500
Ge  0.352  0.352  0.500
Ge  0.648  0.000  0.500